[1]
Theoretical powder diffraction line list of TbDy4As5 for Cu Kα (λ = 1.5418 Å), from a cell relaxed with GGA-PBE.
No peak broadening, texture or thermal motion is included.

Top 6 peaks for 2θ from 10° to 80°, sorted by position:
26.48 deg, rel. 23; 30.66 deg, rel. 100; 43.92 deg, rel. 75; 54.51 deg, rel. 26; 63.85 deg, rel. 12; 72.49 deg, rel. 34

```
10
Lattice="-4.610 4.610 2.915 4.610 -4.610 2.915 4.610 4.610 -2.915" Properties=species:S:1:pos:R:3 pbc="T T T"
Tb 0.000 0.000 0.000
Dy 3.686 1.844 0.000
Dy 2.766 -0.924 2.915
Dy 1.844 5.534 0.000
Dy 0.924 2.766 2.915
As 6.448 0.924 0.000
As 0.924 2.772 0.000
As 0.000 0.000 2.915
As 3.686 1.838 2.915
As -1.838 3.686 2.915
```

[2]
Theoretical powder diffraction line list of Dy2TmThAs4 for Cu Kα (λ = 1.5418 Å), from a cell relaxed with GGA-PBE.
No peak broadening, texture or thermal motion is included.

Top 6 peaks for 2θ from 10° to 80°, sorted by position:
26.35 deg, rel. 29; 30.52 deg, rel. 100; 43.66 deg, rel. 38; 43.74 deg, rel. 37; 54.20 deg, rel. 20; 72.14 deg, rel. 23

```
8
Lattice="7.164 0.000 0.000 0.000 4.150 0.000 -2.392 0.000 6.764" Properties=species:S:1:pos:R:3 pbc="T T T"
Dy 0.000 0.000 0.000
Dy 3.582 2.075 0.000
Tm -1.196 2.075 3.382
Th 2.386 0.000 3.382
As 1.155 2.075 1.662
As -0.036 0.000 5.072
As 4.808 0.000 1.693
As 3.617 2.075 5.102
```